[1]
Structure and calculated X-ray diffraction stick pattern of Cs2RbSbF6 (a structure optimized by DFT (GGA-PBE); Cu Ka).

Peak list (6 most intense, 10 to 80 degrees two-theta, most intense first)
(2 2 0), 25.57 deg, rel. 100.0
(4 2 2), 45.07 deg, rel. 41.6
(4 0 0), 36.47 deg, rel. 35.2
(6 4 2), 71.66 deg, rel. 22.9
(4 4 0), 52.53 deg, rel. 22.7
(6 2 0), 59.31 deg, rel. 20.4

Cell and atoms:
abc: 9.8546 9.8546 9.8546
angles: 90.00 90.00 90.00
Space group Fm-3m (No. 225)
Unique sites:
Cs 0.2500 0.2500 0.2500
Rb 0.0000 0.0000 0.0000
Sb 0.0000 0.0000 0.5000
F 0.0000 0.0000 0.2754

[2]
Structure and calculated X-ray diffraction stick pattern of CsRb2ScF6 (a structure optimized by DFT (GGA-PBE); Cu Ka).

Peak list (6 most intense, 10 to 80 degrees two-theta, most intense first)
(2 2 0), 26.02 deg, rel. 100.0
(4 0 0), 37.13 deg, rel. 38.3
(4 2 2), 45.90 deg, rel. 37.6
(4 4 0), 53.52 deg, rel. 22.9
(6 4 2), 73.11 deg, rel. 22.8
(6 2 0), 60.45 deg, rel. 21.7

Cell and atoms:
abc: 9.6859 9.6859 9.6859
angles: 90.00 90.00 90.00
Space group Fm-3m (No. 225)
Unique sites:
Cs 0.0000 0.0000 0.0000
Rb 0.2500 0.2500 0.2500
Sc 0.0000 0.0000 0.5000
F 0.0000 0.0000 0.2897